BaLiCaVP2O9: theoretical X-ray powder pattern (copper Kα), based on a cell relaxed with GGA+U.
Lines closer than 0.1° are merged.

Crystal structure
Cell lengths 7.442, 7.221, 14.877 Å; angles 90.00, 101.17, 90.00 degrees
Element x y z (fractional)
Ba 0.128 0.231 0.077
Ba 0.128 0.269 0.577
Ba 0.872 0.731 0.423
Ba 0.872 0.769 0.923
Li 0.403 0.714 0.203
Li 0.403 0.786 0.703
Li 0.597 0.214 0.297
Li 0.597 0.286 0.797
Ca 0.309 0.025 0.843
Ca 0.309 0.475 0.343
Ca 0.691 0.525 0.657
Ca 0.691 0.975 0.157
V 0.338 0.521 0.841
V 0.338 0.979 0.341
V 0.662 0.021 0.659
V 0.662 0.479 0.159
P 0.034 0.724 0.199
P 0.034 0.776 0.699
P 0.376 0.731 0.997
P 0.376 0.769 0.497
P 0.624 0.231 0.503
P 0.624 0.269 0.003
P 0.966 0.224 0.301
P 0.966 0.276 0.801
O 0.002 0.617 0.629
O 0.002 0.883 0.129
O 0.138 0.558 0.170
O 0.138 0.942 0.670
O 0.153 0.722 0.795
O 0.153 0.778 0.295
O 0.160 0.179 0.280
O 0.160 0.321 0.780
O 0.245 0.562 0.972
O 0.245 0.938 0.472
O 0.273 0.584 0.494
O 0.273 0.916 0.994
O 0.474 0.524 0.748
O 0.474 0.976 0.248
O 0.491 0.735 0.919
O 0.491 0.765 0.419
O 0.494 0.208 0.407
O 0.494 0.292 0.907
O 0.506 0.708 0.093
O 0.506 0.792 0.593
O 0.509 0.235 0.581
O 0.509 0.265 0.081
O 0.526 0.024 0.752
O 0.526 0.476 0.252
O 0.727 0.084 0.006
O 0.727 0.416 0.506
O 0.755 0.062 0.528
O 0.755 0.438 0.028
O 0.840 0.679 0.220
O 0.840 0.821 0.720
O 0.847 0.222 0.705
O 0.847 0.278 0.205
O 0.862 0.058 0.330
O 0.862 0.442 0.830
O 0.998 0.117 0.871
O 0.998 0.383 0.371

Peak list (12 most intense, 2θ from 10° to 90°, by angle)
2θ/deg	I (rel.)
17.27	40.1
25.08	44.4
27.38	100.0
27.56	50.6
28.00	98.9
29.40	58.6
31.17	50.2
38.73	40.8
44.93	35.2
45.91	27.4
47.88	19.4
50.56	23.0



Ba4CaMn2MoO12: theoretical X-ray powder pattern (copper Kα), based on a cell relaxed with GGA+U.
Lines closer than 0.1° are merged.

Crystal structure
Cell lengths 10.453, 10.453, 10.453 Å; angles 32.95, 32.95, 32.95 degrees
Element x y z (fractional)
Ba 0.000 0.000 0.000
Ba 0.143 0.143 0.143
Ba 0.569 0.569 0.569
Ba 0.739 0.739 0.739
Ca 0.863 0.863 0.863
Mn 0.370 0.370 0.370
Mn 0.456 0.456 0.456
Mo 0.279 0.279 0.279
O 0.036 0.472 0.472
O 0.090 0.090 0.565
O 0.090 0.565 0.090
O 0.186 0.642 0.642
O 0.262 0.262 0.704
O 0.262 0.704 0.262
O 0.472 0.036 0.472
O 0.472 0.472 0.036
O 0.565 0.090 0.090
O 0.642 0.186 0.642
O 0.642 0.642 0.186
O 0.704 0.262 0.262

Peak list (12 most intense, 2θ from 10° to 90°, by angle)
2θ/deg	I (rel.)
22.92	17.2
27.30	69.1
29.74	13.1
30.14	100.0
37.71	10.8
38.20	16.8
41.12	43.2
51.82	21.8
53.53	19.0
62.67	19.3
69.65	10.5
86.93	10.5



Ba7Ca2Mn5O20: theoretical X-ray powder pattern (copper Kα), based on a cell relaxed with GGA+U.
Lines closer than 0.1° are merged.

Crystal structure
Cell lengths 17.755, 17.755, 17.755 Å; angles 19.15, 19.15, 19.15 degrees
Element x y z (fractional)
Ba 0.000 0.000 0.000
Ba 0.146 0.146 0.146
Ba 0.227 0.227 0.227
Ba 0.388 0.388 0.388
Ba 0.612 0.612 0.612
Ba 0.773 0.773 0.773
Ba 0.854 0.854 0.854
Ca 0.075 0.075 0.075
Ca 0.925 0.925 0.925
Mn 0.303 0.303 0.303
Mn 0.451 0.451 0.451
Mn 0.500 0.500 0.500
Mn 0.549 0.549 0.549
Mn 0.697 0.697 0.697
O 0.133 0.133 0.608
O 0.133 0.608 0.133
O 0.183 0.623 0.623
O 0.262 0.723 0.723
O 0.277 0.277 0.738
O 0.277 0.738 0.277
O 0.335 0.335 0.335
O 0.377 0.377 0.817
O 0.377 0.817 0.377
O 0.392 0.867 0.867
O 0.608 0.133 0.133
O 0.623 0.183 0.623
O 0.623 0.623 0.183
O 0.665 0.665 0.665
O 0.723 0.262 0.723
O 0.723 0.723 0.262
O 0.738 0.277 0.277
O 0.817 0.377 0.377
O 0.867 0.392 0.867
O 0.867 0.867 0.392

Peak list (12 most intense, 2θ from 10° to 90°, by angle)
2θ/deg	I (rel.)
22.07	11.0
25.59	10.7
28.23	72.4
30.27	100.0
37.78	12.6
41.87	41.7
43.72	10.7
48.65	13.5
52.53	25.3
53.77	18.9
62.95	18.1
70.38	11.1



Ba2Ca3Mn4Tl2O12: theoretical X-ray powder pattern (copper Kα), based on a cell relaxed with GGA+U.
Lines closer than 0.1° are merged.

Crystal structure
Cell lengths 22.139, 22.139, 22.139 Å; angles 169.66, 169.66, 14.64 degrees
Element x y z (fractional)
Ba 0.163 0.163 0.000
Ba 0.837 0.837 0.000
Ca 0.000 0.000 0.000
Ca 0.079 0.079 0.000
Ca 0.921 0.921 0.000
Mn 0.383 0.383 0.000
Mn 0.461 0.461 0.000
Mn 0.539 0.539 0.000
Mn 0.617 0.617 0.000
Tl 0.276 0.276 0.000
Tl 0.724 0.724 0.000
O 0.036 0.536 0.500
O 0.108 0.608 0.500
O 0.223 0.223 0.000
O 0.337 0.337 0.000
O 0.392 0.892 0.500
O 0.464 0.964 0.500
O 0.536 0.036 0.500
O 0.608 0.108 0.500
O 0.663 0.663 0.000
O 0.777 0.777 0.000
O 0.892 0.392 0.500
O 0.964 0.464 0.500

Peak list (12 most intense, 2θ from 10° to 90°, by angle)
2θ/deg	I (rel.)
26.47	29.1
28.90	54.1
31.71	100.0
31.98	20.0
32.62	11.1
36.84	10.6
45.46	30.0
46.14	10.6
49.38	16.3
54.77	19.1
56.48	19.2
75.32	12.4



BaCaMnWO6: theoretical X-ray powder pattern (copper Kα), based on a cell relaxed with GGA+U.
Lines closer than 0.1° are merged.

Crystal structure
Cell lengths 5.809, 5.809, 5.809 Å; angles 60.00, 60.00, 60.00 degrees
Element x y z (fractional)
Ba 0.000 0.000 0.000
Ca 0.500 0.500 0.500
Mn 0.750 0.750 0.750
W 0.250 0.250 0.250
O 0.013 0.013 0.487
O 0.013 0.487 0.013
O 0.013 0.487 0.487
O 0.487 0.013 0.013
O 0.487 0.013 0.487
O 0.487 0.487 0.013

Peak list (12 most intense, 2θ from 10° to 90°, by angle)
2θ/deg	I (rel.)
18.71	38.9
21.64	8.2
30.79	100.0
36.27	20.7
44.10	32.5
48.29	8.7
54.74	39.3
58.37	8.2
64.13	19.6
67.45	8.1
72.82	17.3
89.22	21.1



Ba2CaMoO6: theoretical X-ray powder pattern (copper Kα), based on a cell relaxed with GGA+U.
Lines closer than 0.1° are merged.

Crystal structure
Cell lengths 6.011, 6.011, 6.011 Å; angles 60.00, 60.00, 60.00 degrees
Element x y z (fractional)
Ba 0.250 0.250 0.250
Ba 0.750 0.750 0.750
Ca 0.000 0.000 0.000
Mo 0.500 0.500 0.500
O 0.270 0.270 0.730
O 0.270 0.730 0.270
O 0.270 0.730 0.730
O 0.730 0.270 0.270
O 0.730 0.270 0.730
O 0.730 0.730 0.270

Peak list (12 most intense, 2θ from 10° to 90°, by angle)
2θ/deg	I (rel.)
18.07	7.7
20.90	5.8
29.73	100.0
36.62	13.1
42.54	32.6
47.85	3.7
52.76	38.9
61.73	19.7
70.00	17.9
73.96	3.9
77.85	6.4
85.48	21.2



BaSrCaMoO6: theoretical X-ray powder pattern (copper Kα), based on a cell relaxed with GGA+U.
Lines closer than 0.1° are merged.

Crystal structure
Cell lengths 5.962, 5.962, 5.962 Å; angles 60.00, 60.00, 60.00 degrees
Element x y z (fractional)
Ba 0.000 0.000 0.000
Sr 0.500 0.500 0.500
Ca 0.750 0.750 0.750
Mo 0.250 0.250 0.250
O 0.019 0.019 0.481
O 0.019 0.481 0.019
O 0.019 0.481 0.481
O 0.481 0.019 0.019
O 0.481 0.019 0.481
O 0.481 0.481 0.019

Peak list (12 most intense, 2θ from 10° to 90°, by angle)
2θ/deg	I (rel.)
18.22	13.6
29.98	100.0
35.31	5.4
36.93	10.9
42.90	34.6
53.22	38.7
56.73	2.7
62.29	20.7
70.66	17.7
74.67	3.0
78.61	6.7
86.35	21.2



BaSr3Ca2Mo2O12: theoretical X-ray powder pattern (copper Kα), based on a cell relaxed with GGA+U.
Lines closer than 0.1° are merged.

Crystal structure
Cell lengths 10.269, 10.269, 10.269 Å; angles 33.56, 33.56, 33.56 degrees
Element x y z (fractional)
Ba 0.000 0.000 0.000
Sr 0.250 0.250 0.250
Sr 0.500 0.500 0.500
Sr 0.750 0.750 0.750
Ca 0.375 0.375 0.375
Ca 0.875 0.875 0.875
Mo 0.125 0.125 0.125
Mo 0.625 0.625 0.625
O 0.009 0.009 0.472
O 0.009 0.472 0.009
O 0.242 0.242 0.777
O 0.242 0.777 0.242
O 0.279 0.740 0.740
O 0.472 0.009 0.009
O 0.509 0.509 0.972
O 0.509 0.972 0.509
O 0.740 0.279 0.740
O 0.740 0.740 0.279
O 0.777 0.242 0.242
O 0.972 0.509 0.509

Peak list (12 most intense, 2θ from 10° to 90°, by angle)
2θ/deg	I (rel.)
18.32	12.2
30.14	100.0
35.50	4.4
37.14	9.6
43.15	35.9
53.53	38.6
57.07	2.4
62.67	21.2
71.10	17.7
75.15	2.5
79.12	6.9
86.93	21.1